Entry 1:
# Na4MgCo2O6
Theoretical PXRD pattern, λ = 1.5418 Å (Cu Kα). Input: a PBE+U-relaxed structure.
Neutral-atom scattering factors, no anomalous dispersion.

Most intense lines, 2θ = 5–70°, by angle:
- 2θ = 14.11°, d 6.278, rel. 100
- 2θ = 17.21°, d 5.151, rel. 46
- 2θ = 22.86°, d 3.890, rel. 43
- 2θ = 32.68°, d 2.740, rel. 28
- 2θ = 34.17°, d 2.624, rel. 26
- 2θ = 34.83°, d 2.576, rel. 35
- 2θ = 35.18°, d 2.551, rel. 26
- 2θ = 35.90°, d 2.501, rel. 40
- 2θ = 40.11°, d 2.248, rel. 27
- 2θ = 42.10°, d 2.146, rel. 25

Cell and atoms:
```
data_Na4MgCo2O6
_chemical_formula_sum 'Na4 Mg1 Co2 O6'
_space_group_name_H-M_alt 'P 1'
_space_group_IT_number 1
_cell_length_a 5.860
_cell_length_b 5.867
_cell_length_c 6.595
_cell_angle_alpha 72.36
_cell_angle_beta 79.35
_cell_angle_gamma 61.64
loop_
_space_group_symop_operation_xyz
'x,y,z'
loop_
_atom_site_label
_atom_site_type_symbol
_atom_site_fract_x
_atom_site_fract_y
_atom_site_fract_z
Na1 Na 0.000 0.000 0.000
Na2 Na 0.046 0.718 0.441
Na3 Na 0.359 0.479 0.820
Na4 Na 0.616 0.872 0.775
Mg1 Mg 0.999 0.208 0.519
Co1 Co 0.538 0.263 0.300
Co2 Co 0.556 0.748 0.271
O1 O 0.014 0.883 0.714
O2 O 0.315 0.254 0.530
O3 O 0.381 0.647 0.141
O4 O 0.539 0.063 0.103
O5 O 0.705 0.588 0.522
O6 O 0.872 0.197 0.267
```


Entry 2:
# NaMgCoO2
Theoretical PXRD pattern, λ = 1.5418 Å (Cu Kα). Input: a PBE+U-relaxed structure.
Neutral-atom scattering factors, no anomalous dispersion.

Most intense lines, 2θ = 5–70°, by angle:
- 2θ = 22.21°, d 4.003, rel. 100
- 2θ = 27.67°, d 3.224, rel. 96
- 2θ = 28.85°, d 3.094, rel. 33
- 2θ = 34.16°, d 2.625, rel. 66
- 2θ = 34.64°, d 2.589, rel. 19
- 2θ = 44.34°, d 2.043, rel. 27
- 2θ = 45.30°, d 2.002, rel. 20
- 2θ = 47.01°, d 1.933, rel. 24
- 2θ = 57.13°, d 1.612, rel. 23
- 2θ = 59.38°, d 1.556, rel. 21

Cell and atoms:
```
data_NaMgCoO2
_chemical_formula_sum 'Na2 Mg2 Co2 O4'
_space_group_name_H-M_alt 'C 1 2/m 1'
_space_group_IT_number 12
_cell_length_a 6.199
_cell_length_b 5.250
_cell_length_c 5.187
_cell_angle_alpha 90.00
_cell_angle_beta 93.22
_cell_angle_gamma 90.00
loop_
_space_group_symop_operation_xyz
'x,y,z'
'-x,-y,-z'
'-x,y,-z'
'x,-y,z'
'x+1/2,y+1/2,z'
'-x+1/2,-y+1/2,-z'
'-x+1/2,y+1/2,-z'
'x+1/2,-y+1/2,z'
loop_
_atom_site_label
_atom_site_type_symbol
_atom_site_fract_x
_atom_site_fract_y
_atom_site_fract_z
Na1 Na 0.000 0.000 0.000
Mg1 Mg 0.000 0.500 0.000
Co1 Co 0.000 0.500 0.500
O1 O 0.210 0.500 0.759
```